# Y2MgSe4
Simulated powder X-ray diffraction pattern, Cu Kα X-rays. Input: a GGA-PBE-relaxed structure.
No peak broadening, texture or thermal motion is included.

Crystal structure
Lattice parameters (Å, degrees): 8.6072 8.6072 8.9390 90.00 90.00 90.00
Space group I-42d (No. 122)
Unique sites:
1 Y 0.1314 0.2500 0.1250
2 Mg 0.0000 0.0000 0.5000
3 Se 0.0661 0.1958 0.8121

Largest 10 diffraction maxima, low angle first, 2θ = 5–70°:
- (1 0 3), 31.78°, intensity 680
- (3 0 1), 32.78°, intensity 624
- (3 1 0), 32.91°, intensity 1000
- (2 1 3), 38.20°, intensity 738
- (3 1 2), 38.73°, intensity 257
- (3 2 1), 39.05°, intensity 335
- (3 2 3), 48.89°, intensity 243
- (4 2 2), 51.71°, intensity 208
- (3 1 4), 53.02°, intensity 194
- (4 3 1), 54.27°, intensity 241